Starting from a DFT-relaxed cell (PBE, Alexandria), the powder diffractogram of Li8TlPb3 was simulated for Cu Kα (λ = 1.5418 Å).
Neutral-atom scattering factors, no anomalous dispersion.

Main lines, by intensity (2θ = 10–80°):
2theta, intensity
26.55, 100
19.36, 56
38.61, 44
40.94, 17
35.71, 15
39.99, 14

Structural model:
```
data_Li8TlPb3
_chemical_formula_sum 'Li8 Tl1 Pb3'
_space_group_name_H-M_alt 'P 1'
_space_group_IT_number 1
_space_group_name_Hall 'P 1'
_cell_length_a 7.281
_cell_length_b 7.281
_cell_length_c 7.281
_cell_angle_alpha 101.94
_cell_angle_beta 92.64
_cell_angle_gamma 138.33
loop_
_atom_site_label
_atom_site_type_symbol
_atom_site_fract_x
_atom_site_fract_y
_atom_site_fract_z
_atom_site_occupancy
Li1 Li 0.000 0.168 0.168 1
Li2 Li 0.000 0.832 0.832 1
Li3 Li 0.149 0.229 0.580 1
Li4 Li 0.149 0.569 0.920 1
Li5 Li 0.496 0.166 0.670 1
Li6 Li 0.496 0.827 0.330 1
Li7 Li 0.649 0.229 0.080 1
Li8 Li 0.649 0.569 0.420 1
Tl1 Tl 0.984 0.484 0.500 1
Pb1 Pb 0.156 0.904 0.252 1
Pb2 Pb 0.494 0.494 0.000 1
Pb3 Pb 0.652 0.904 0.748 1
```

Starting from a DFT-relaxed cell (PBE, Alexandria), the powder diffractogram of Li8TlPb2 was simulated for Cu Kα (λ = 1.5418 Å).
Neutral-atom scattering factors, no anomalous dispersion.

Main lines, by intensity (2θ = 10–80°):
2theta, intensity
22.58, 100
24.01, 38
28.49, 37
37.36, 35
24.62, 34
36.94, 28

Structural model:
```
data_Li8TlPb2
_chemical_formula_sum 'Li8 Tl1 Pb2'
_space_group_name_H-M_alt 'P 1'
_space_group_IT_number 1
_space_group_name_Hall 'P 1'
_cell_length_a 7.517
_cell_length_b 7.517
_cell_length_c 7.240
_cell_angle_alpha 116.42
_cell_angle_beta 116.42
_cell_angle_gamma 36.39
loop_
_atom_site_label
_atom_site_type_symbol
_atom_site_fract_x
_atom_site_fract_y
_atom_site_fract_z
_atom_site_occupancy
Li1 Li 0.023 0.023 0.225 1
Li2 Li 0.151 0.151 0.700 1
Li3 Li 0.331 0.331 0.610 1
Li4 Li 0.394 0.394 0.058 1
Li5 Li 0.606 0.606 0.942 1
Li6 Li 0.669 0.669 0.390 1
Li7 Li 0.849 0.849 0.300 1
Li8 Li 0.977 0.977 0.775 1
Tl1 Tl 0.500 0.500 0.500 1
Pb1 Pb 0.210 0.210 0.163 1
Pb2 Pb 0.790 0.790 0.837 1
```

Starting from a DFT-relaxed cell (PBE, Alexandria), the powder diffractogram of Li2TlPb4 was simulated for Cu Kα (λ = 1.5418 Å).
Neutral-atom scattering factors, no anomalous dispersion.

Main lines, by intensity (2θ = 10–80°):
2theta, intensity
31.16, 100
30.72, 75
30.93, 53
37.95, 44
55.16, 36
23.35, 32

Structural model:
```
data_Li2TlPb4
_chemical_formula_sum 'Li2 Tl1 Pb4'
_space_group_name_H-M_alt 'P 1'
_space_group_IT_number 1
_space_group_name_Hall 'P 1'
_cell_length_a 7.687
_cell_length_b 6.661
_cell_length_c 6.049
_cell_angle_alpha 74.25
_cell_angle_beta 56.51
_cell_angle_gamma 49.23
loop_
_atom_site_label
_atom_site_type_symbol
_atom_site_fract_x
_atom_site_fract_y
_atom_site_fract_z
_atom_site_occupancy
Li1 Li 0.225 0.225 0.775 1
Li2 Li 0.775 0.775 0.225 1
Tl1 Tl 0.500 0.500 0.500 1
Pb1 Pb 0.166 0.834 0.166 1
Pb2 Pb 0.250 0.250 0.250 1
Pb3 Pb 0.750 0.750 0.750 1
Pb4 Pb 0.834 0.166 0.834 1
```

Starting from a DFT-relaxed cell (PBE, Alexandria), the powder diffractogram of Li4Tl2Pb was simulated for Cu Kα (λ = 1.5418 Å).
Neutral-atom scattering factors, no anomalous dispersion.

Main lines, by intensity (2θ = 10–80°):
2theta, intensity
29.53, 100
13.82, 87
24.98, 74
39.56, 50
27.29, 49
38.54, 45

Structural model:
```
data_Li4Tl2Pb
_chemical_formula_sum 'Li4 Tl2 Pb1'
_space_group_name_H-M_alt 'P 1'
_space_group_IT_number 1
_space_group_name_Hall 'P 1'
_cell_length_a 7.139
_cell_length_b 3.413
_cell_length_c 7.282
_cell_angle_alpha 90.00
_cell_angle_beta 116.15
_cell_angle_gamma 90.00
loop_
_atom_site_label
_atom_site_type_symbol
_atom_site_fract_x
_atom_site_fract_y
_atom_site_fract_z
_atom_site_occupancy
Li1 Li 0.054 0.000 0.234 1
Li2 Li 0.244 0.500 0.629 1
Li3 Li 0.756 0.500 0.371 1
Li4 Li 0.946 0.000 0.766 1
Tl1 Tl 0.300 0.500 0.049 1
Tl2 Tl 0.700 0.500 0.951 1
Pb1 Pb 0.500 0.000 0.500 1
```